Simulated powder diffractogram
Compound: AlNi20B14
Radiation: Cu Kα
Structure: DFT lattice parameters and positions (PBE)
Neutral-atom scattering factors, no anomalous dispersion.

Principal peaks in the range 2θ from 5° to 70°, by angle:
two_theta  d_spacing  intensity  hkl
23.61  3.768  12.2  2 2 0
29.02  3.076  5.2  2 2 2
33.64  2.664  22.2  4 0 0
37.75  2.383  10.9  4 2 0
41.51  2.175  10.8  4 2 2
44.16  2.051  100.0  3 3 3
48.31  1.884  12.0  4 4 0
50.68  1.801  41.0  5 3 1
51.45  1.776  28.8  6 0 0
56.63  1.625  5.7  5 3 3

Structural model:
```
data_AlNi20B14
_cell_length_a 10.6571
_cell_length_b 10.6571
_cell_length_c 10.6571
_cell_angle_alpha 90.00
_cell_angle_beta 90.00
_cell_angle_gamma 90.00
_space_group_name_H-M_alt 'F m -3 m'
_space_group_IT_number 225
_space_group_name_Hall '-F 4 2 3'
loop_
_atom_site_label
_atom_site_type_symbol
_atom_site_fract_x
_atom_site_fract_y
_atom_site_fract_z
Al1 Al 0.0000 0.0000 0.0000
Ni1 Ni 0.0000 0.1671 0.1671
Ni2 Ni 0.1215 0.1215 0.3785
B1 B 0.0000 0.0000 0.2762
B2 B 0.1899 0.1899 0.1899
```